1.
Diffraction record for Nd3In2SnPdPt2. The X-ray powder pattern is theoretical, not measured: it uses DFT lattice parameters and positions (PBE) and λ = 1.5418 Å (Cu Kα).

```
data_Nd3In2SnPdPt2
_space_group_name_H-M_alt 'A m m 2'
_space_group_IT_number 38
_cell_length_a 4.006
_cell_length_b 13.505
_cell_length_c 7.804
_cell_angle_alpha 90.00
_cell_angle_beta 90.00
_cell_angle_gamma 90.00
loop_
_space_group_symop_operation_xyz
'x,y,z'
'-x,-y,z'
'-x,y,z'
'x,-y,z'
'x,y+1/2,z+1/2'
'-x,-y+1/2,z+1/2'
'-x,y+1/2,z+1/2'
'x,-y+1/2,z+1/2'
loop_
_atom_site_label
_atom_site_fract_x
_atom_site_fract_y
_atom_site_fract_z
Nd1 0.000 0.000 0.000
Nd2 0.000 0.207 0.618
In1 0.500 0.127 0.285
Sn1 0.500 0.000 0.665
Pd1 0.000 0.000 0.417
Pt1 0.500 0.167 0.912
```

Top 8 peaks for 10 to 80 degrees two-theta, low angle first:
(hkl)  2θ/deg  intensity
1 0 2  32.03  97
1 2 2  34.74  100
0 4 2  35.15  49
0 3 3  40.04  43
1 1 3  41.96  33
2 0 0  45.27  27
2 3 3  62.01  24
1 7 3  64.47  33

2.
Diffraction record for Nd6In22Pt13. The X-ray powder pattern is theoretical, not measured: it uses DFT lattice parameters and positions (PBE) and λ = 1.5418 Å (Cu Kα).

```
data_Nd6In22Pt13
_space_group_name_H-M_alt 'C 1 2/m 1'
_space_group_IT_number 12
_cell_length_a 28.466
_cell_length_b 4.458
_cell_length_c 15.052
_cell_angle_alpha 90.00
_cell_angle_beta 112.21
_cell_angle_gamma 90.00
loop_
_space_group_symop_operation_xyz
'x,y,z'
'-x,-y,-z'
'-x,y,-z'
'x,-y,z'
'x+1/2,y+1/2,z'
'-x+1/2,-y+1/2,-z'
'-x+1/2,y+1/2,-z'
'x+1/2,-y+1/2,z'
loop_
_atom_site_label
_atom_site_fract_x
_atom_site_fract_y
_atom_site_fract_z
Nd1 0.047 0.000 0.199
Nd2 0.163 0.500 0.031
Nd3 0.179 0.500 0.581
In1 0.029 0.000 0.679
In2 0.042 0.500 0.840
In3 0.055 0.500 0.564
In4 0.065 0.000 0.003
In5 0.092 0.000 0.453
In6 0.124 0.500 0.331
In7 0.143 0.500 0.782
In8 0.174 0.000 0.220
In9 0.213 0.000 0.935
In10 0.227 0.000 0.746
In11 0.238 0.500 0.416
Pt1 0.000 0.500 0.000
Pt2 0.033 0.500 0.361
Pt3 0.099 0.500 0.136
Pt4 0.107 0.000 0.863
Pt5 0.119 0.000 0.651
Pt6 0.180 0.000 0.411
Pt7 0.248 0.000 0.137
```

Top 8 peaks for 10 to 80 degrees two-theta, low angle first:
(hkl)  2θ/deg  intensity
5 1 2  31.96  48
7 1 1  33.58  51
1 1 4  33.82  38
7 1 -4  34.22  71
9 1 -2  34.80  64
3 1 -5  36.05  39
0 2 0  40.46  100
11 1 -1  41.07  49

3.
Diffraction record for Nd4In5S13. The X-ray powder pattern is theoretical, not measured: it uses DFT lattice parameters and positions (PBE) and λ = 1.5418 Å (Cu Kα).

```
data_Nd4In5S13
_space_group_name_H-M_alt 'P b a m'
_space_group_IT_number 55
_cell_length_a 11.983
_cell_length_b 21.654
_cell_length_c 3.968
_cell_angle_alpha 90.00
_cell_angle_beta 90.00
_cell_angle_gamma 90.00
loop_
_space_group_symop_operation_xyz
'x,y,z'
'-x,-y,-z'
'-x,-y,z'
'x,y,-z'
'x+1/2,-y+1/2,-z'
'-x+1/2,y+1/2,z'
'-x+1/2,y+1/2,-z'
'x+1/2,-y+1/2,z'
loop_
_atom_site_label
_atom_site_fract_x
_atom_site_fract_y
_atom_site_fract_z
Nd1 0.019 0.170 0.000
Nd2 0.170 0.343 0.000
In1 0.000 0.500 0.000
In2 0.154 0.670 0.500
In3 0.155 0.993 0.500
S1 0.000 0.000 0.000
S2 0.002 0.409 0.500
S3 0.079 0.261 0.500
S4 0.151 0.867 0.500
S5 0.162 0.113 0.500
S6 0.169 0.739 0.000
S7 0.203 0.477 0.000
```

Top 8 peaks for 10 to 80 degrees two-theta, low angle first:
(hkl)  2θ/deg  intensity
0 6 0  24.67  61
1 2 1  25.03  29
3 3 0  25.49  100
1 3 1  26.69  45
3 1 1  32.06  34
2 5 1  34.12  36
3 9 0  43.93  31
6 0 0  45.46  41

4.
Diffraction record for Nd3InS6. The X-ray powder pattern is theoretical, not measured: it uses DFT lattice parameters and positions (PBE) and λ = 1.5418 Å (Cu Kα).

```
data_Nd3InS6
_space_group_name_H-M_alt 'P 21 21 2'
_space_group_IT_number 18
_cell_length_a 13.822
_cell_length_b 16.860
_cell_length_c 4.003
_cell_angle_alpha 90.00
_cell_angle_beta 90.00
_cell_angle_gamma 90.00
loop_
_space_group_symop_operation_xyz
'x,y,z'
'-x,-y,z'
'x+1/2,-y+1/2,-z'
'-x+1/2,y+1/2,-z'
loop_
_atom_site_label
_atom_site_fract_x
_atom_site_fract_y
_atom_site_fract_z
Nd1 0.036 0.223 0.247
Nd2 0.192 0.643 0.246
Nd3 0.248 0.391 0.240
In1 0.000 0.000 0.899
In2 0.000 0.500 0.746
S1 0.021 0.397 0.245
S2 0.102 0.910 0.265
S3 0.106 0.112 0.749
S4 0.115 0.744 0.747
S5 0.178 0.283 0.743
S6 0.190 0.518 0.745
```

Top 8 peaks for 10 to 80 degrees two-theta, low angle first:
(hkl)  2θ/deg  intensity
2 4 0  24.74  100
1 2 1  25.46  50
4 1 0  26.29  60
2 3 1  30.31  36
3 2 1  31.46  34
3 3 1  33.68  46
0 5 1  34.78  54
0 0 2  45.31  46

- Which formula does entry 2 have?
  Nd6In22Pt13

- Number 2 is which compound?
  Nd6In22Pt13